For KNbCl6, a PBE-relaxed structure gives the theoretical X-ray diffraction stick pattern in this record (copper Kα).
Neutral-atom scattering factors, no anomalous dispersion.

Structure:
a b c (Å): 6.2949 6.2949 12.0615
angles (deg): 90.00 90.00 90.00
Space group P-4c2 (No. 116)
Symmetry-distinct sites (fractional):
K1 0.0000 0.0000 0.0000 [2 per cell]
Nb1 0.5000 0.5000 0.2500 [2 per cell]
Cl1 0.2317 0.2317 0.2500 [4 per cell]
Cl2 0.3090 0.3159 0.6105 [8 per cell]

Main lines, in order of falling intensity (2θ = 15–90°):
2theta	I/Imax	hkl
20.4	100.0	1 0 2
19.9	97.4	1 1 0
29.9	87.6	1 1 3
35.2	79.1	2 1 2
40.5	42.2	2 2 0
55.3	27.7	3 1 4
41.5	27.5	2 0 4
45.8	26.3	3 0 2
32.7	24.9	2 1 1
36.0	22.5	1 1 4
53.2	19.3	3 0 4
44.0	17.7	2 1 4